# 1
For Pr5InSn3, a cell relaxed with PBE gives the computed powder diffractogram in this record (Cu Ka).

Cell and atoms:
Cell lengths 9.7314, 9.7314, 6.7426 Å; angles 90.00, 90.00, 120.00 degrees
Space group P6_3/mcm (No. 193)
Symmetry-distinct sites (fractional):
Pr 0.0000 0.2815 0.2500 x6
Pr 0.3333 0.6667 0.0000 x4
In 0.0000 0.0000 0.0000 x2
Sn 0.0000 0.3729 0.7500 x6

Largest 8 diffraction maxima, by angle, 2θ = 5–70°:
Position (°2θ)	I (rel.)	h k l
31.05	39	2 1 1
31.86	90	3 0 0
32.31	100	1 1 2
46.01	31	2 2 2
49.63	13	2 1 3
56.78	13	3 3 0
57.05	22	4 1 2
64.47	24	3 0 4


# 2
For TbAgSO, a cell relaxed with PBE gives the computed powder diffractogram in this record (Cu Ka).

Cell and atoms:
Cell lengths 3.9513, 3.9513, 31.6914 Å; angles 90.00, 90.00, 120.00 degrees
Space group R-3m (No. 166, hexagonal axes)
Symmetry-distinct sites (fractional):
Tb 0.0000 0.0000 0.1222 x6
Ag 0.0000 0.0000 0.3059 x6
S 0.0000 0.0000 0.3985 x6
O 0.0000 0.0000 0.1934 x6

Largest 8 diffraction maxima, by angle, 2θ = 5–70°:
Position (°2θ)	I (rel.)	h k l
28.41	92	1 0 4
29.67	100	0 1 5
32.81	65	1 0 7
33.94	31	0 0 12
38.73	48	1 0 10
40.95	39	0 1 11
45.94	92	1 1 0
58.33	38	1 1 12


# 3
For NdDy4Er7, a cell relaxed with PBE gives the computed powder diffractogram in this record (Cu Ka).

Cell and atoms:
Cell lengths 6.1700, 7.1283, 8.7730 Å; angles 90.01, 103.72, 90.10 degrees
Space group P-1 (No. 2)
Symmetry-distinct sites (fractional):
Nd 0.0000 0.0000 0.0000 x1
Dy 0.2214 0.4997 0.6659 x2
Dy 0.2794 0.7497 0.3352 x2
Er 0.0000 0.5000 0.0000 x1
Er 0.2217 0.9997 0.6656 x2
Er 0.2789 0.2510 0.3347 x2
Er 0.4999 0.2501 0.0002 x2

Largest 8 diffraction maxima, by angle, 2θ = 5–70°:
Position (°2θ)	I (rel.)	h k l
29.15	37	1 2 0
29.78	16	1 2 -1
31.49	50	0 0 3
32.21	100	2 0 -2
33.93	89	2 0 1
51.28	39	0 4 0
61.37	23	3 2 -4
61.45	15	0 4 3


# 4
For CeRuC, a cell relaxed with PBE gives the computed powder diffractogram in this record (Cu Ka).

Cell and atoms:
Cell lengths 9.9487, 3.5326, 5.9004 Å; angles 90.00, 108.17, 90.00 degrees
Space group C2/m (No. 12)
Symmetry-distinct sites (fractional):
Ce 0.0972 0.0000 0.3250 x4
Ru 0.1600 0.5000 0.8642 x4
C 0.2289 0.0000 0.7664 x4

Largest 8 diffraction maxima, by angle, 2θ = 5–70°:
Position (°2θ)	I (rel.)	h k l
31.63	54	2 0 -2
32.90	100	1 1 1
36.36	19	4 0 -1
37.89	73	3 1 -1
38.08	20	4 0 0
42.31	19	2 0 2
51.76	19	0 2 0
53.63	22	1 1 -3